(1)
Diffraction record for RbNa2AgO2. The PXRD pattern is theoretical, not measured: it uses a crystal structure in OQMD, relaxed with PBE and Cu Kα (weighted mean of Kα1 and Kα2).

Main lines, low angle first (2θ = 5–70°):
2θ 15.77, rel. 78; 2θ 30.81, rel. 36; 2θ 31.85, rel. 34; 2θ 33.26, rel. 100; 2θ 40.45, rel. 64; 2θ 44.90, rel. 40

Crystal structure
Lattice parameters (Å, degrees): 5.8051 11.2399 6.3178 90.00 90.00 90.00
Space group Ibam (No. 72)
Asymmetric unit:
Rb 0.0000 0.0000 0.2500 (multiplicity 4)
Na 0.0000 0.2635 0.2500 (multiplicity 8)
Ag 0.0000 0.5000 0.0000 (multiplicity 4)
O 0.2314 0.3523 0.0000 (multiplicity 8)

---

(2)
Diffraction record for HfNbNO. The PXRD pattern is theoretical, not measured: it uses a crystal structure in OQMD, relaxed with PBE and Cu Kα (weighted mean of Kα1 and Kα2).

Main lines, low angle first (2θ = 5–70°):
2θ 21.41, rel. 63; 2θ 31.27, rel. 100; 2θ 31.64, rel. 35; 2θ 35.15, rel. 42; 2θ 37.97, rel. 75; 2θ 38.52, rel. 67

Crystal structure
Lattice parameters (Å, degrees): 5.2204 6.8404 5.6562 90.00 90.00 90.00
Space group Pca2_1 (No. 29)
Asymmetric unit:
Hf 0.1730 0.1712 0.0000 (multiplicity 4)
Nb 0.1347 0.5900 0.1398 (multiplicity 4)
N 0.0010 0.6869 0.7935 (multiplicity 4)
O 0.0076 0.9164 0.1890 (multiplicity 4)

---

(3)
Diffraction record for Dy2Y2ErS7. The PXRD pattern is theoretical, not measured: it uses a crystal structure in OQMD, relaxed with PBE and Cu Kα (weighted mean of Kα1 and Kα2).

Main lines, low angle first (2θ = 5–70°):
2θ 23.91, rel. 67; 2θ 24.51, rel. 100; 2θ 27.86, rel. 28; 2θ 31.59, rel. 49; 2θ 33.25, rel. 33; 2θ 34.30, rel. 27

Crystal structure
Lattice parameters (Å, degrees): 12.8129 3.8049 11.5821 90.00 104.51 90.00
Space group C2/m (No. 12)
Asymmetric unit:
Dy 0.1119 0.0000 0.4212 (multiplicity 4)
Y 0.1997 0.5000 0.8120 (multiplicity 4)
Er 0.0000 0.0000 0.0000 (multiplicity 2)
S 0.0000 0.5000 0.5000 (multiplicity 2)
S 0.0406 0.0000 0.7861 (multiplicity 4)
S 0.1574 0.5000 0.0506 (multiplicity 4)
S 0.2407 0.5000 0.3525 (multiplicity 4)

---

Copy entry 2 word for word.
Diffraction record for HfNbNO. The PXRD pattern is theoretical, not measured: it uses a crystal structure in OQMD, relaxed with PBE and Cu Kα (weighted mean of Kα1 and Kα2).

Main lines, low angle first (2θ = 5–70°):
2θ 21.41, rel. 63; 2θ 31.27, rel. 100; 2θ 31.64, rel. 35; 2θ 35.15, rel. 42; 2θ 37.97, rel. 75; 2θ 38.52, rel. 67

Crystal structure
Lattice parameters (Å, degrees): 5.2204 6.8404 5.6562 90.00 90.00 90.00
Space group Pca2_1 (No. 29)
Asymmetric unit:
Hf 0.1730 0.1712 0.0000 (multiplicity 4)
Nb 0.1347 0.5900 0.1398 (multiplicity 4)
N 0.0010 0.6869 0.7935 (multiplicity 4)
O 0.0076 0.9164 0.1890 (multiplicity 4)